This entry pairs a crystal structure of Ti3MnCrP6O24 with its computed powder XRD pattern. Radiation: Cu Kα (λ = 1.5418 Å). Structure: a PBE+U-relaxed structure.

Main lines, in order of falling intensity (2θ = 10–90°):
2theta	I (rel.)	h k l
24.12	100	2 -1 3
20.53	57	1 1 0
32.71	36	2 -1 6
31.89	22	2 1 1
35.98	21	3 0 0
46.94	20	3 -2 8
29.19	19	0 2 4
12.53	18	0 0 3

Atomic structure:
```
data_Ti3MnCrP6O24
_symmetry_space_group_name_H-M 'R 3'
_symmetry_Int_Tables_number 146
_symmetry_space_group_name_Hall 'R 3'
_cell_length_a 8.6464
_cell_length_b 8.6464
_cell_length_c 21.2299
_cell_angle_alpha 90.00
_cell_angle_beta 90.00
_cell_angle_gamma 120.00
loop_
_atom_site_label
_atom_site_type_symbol
_atom_site_fract_x
_atom_site_fract_y
_atom_site_fract_z
_atom_site_occupancy
Ti1 Ti 0.0000 0.0000 0.0000 1
Ti2 Ti 0.0000 0.0000 0.2182 1
Ti3 Ti 0.0000 0.0000 0.4885 1
Mn1 Mn 0.0000 0.0000 0.8532 1
Cr1 Cr 0.0000 0.0000 0.7087 1
P1 P 0.0068 0.2885 0.6010 1
P2 P 0.0485 0.6730 0.7724 1
O1 O 0.0001 0.1919 0.6622 1
O2 O 0.0191 0.1933 0.5421 1
O3 O 0.0231 0.8392 0.7738 1
O4 O 0.0244 0.1972 0.2670 1
O5 O 0.1490 0.6714 0.7118 1
O6 O 0.1573 0.6850 0.8306 1
O7 O 0.1636 0.6947 0.1041 1
O8 O 0.1744 0.4811 0.5994 1
```